No. 1
Structure and calculated XRD peak list of Al3Au8 (a crystal structure in Alexandria, relaxed with GGA-PBE; a wavelength of 1.5418 Å).

Crystal structure
```
data_Al3Au8
_chemical_formula_sum 'Al36 Au96'
_cell_length_a 7.8308
_cell_length_b 7.8308
_cell_length_c 42.8467
_cell_angle_alpha 90.00
_cell_angle_beta 90.00
_cell_angle_gamma 120.00
_space_group_name_H-M_alt 'R -3 c'
_space_group_IT_number 167
_space_group_name_Hall '-R 3 2"c'
loop_
_atom_site_label
_atom_site_type_symbol
_atom_site_fract_x
_atom_site_fract_y
_atom_site_fract_z
Al1 Al 0.0000 0.0000 0.0000
Al2 Al 0.0000 0.0000 0.1563
Al3 Al 0.0000 0.3155 0.2500
Au1 Au 0.0000 0.0000 0.0629
Au2 Au 0.0000 0.0000 0.2175
Au3 Au 0.0012 0.2615 0.1143
Au4 Au 0.0009 0.3548 0.8504
```

Largest 12 diffraction maxima, sorted by position, 2θ = 10–80°:
two_theta, I_rel
25.95, 24
29.54, 19
35.07, 15
38.06, 10
39.02, 100
39.67, 17
39.88, 80
46.20, 16
57.03, 14
67.55, 12
71.85, 11
79.36, 10

No. 2
Structure and calculated XRD peak list of AlAu4 (a crystal structure in Alexandria, relaxed with GGA-PBE; a wavelength of 1.5418 Å).

Crystal structure
```
data_AlAu4
_chemical_formula_sum 'Al2 Au8'
_cell_length_a 4.308
_cell_length_b 10.045
_cell_length_c 4.306
_cell_angle_alpha 90.00
_cell_angle_beta 90.00
_cell_angle_gamma 90.00
_space_group_name_H-M_alt 'C m m m'
_space_group_IT_number 65
_space_group_name_Hall '-C 2 2'
loop_
_atom_site_label
_atom_site_type_symbol
_atom_site_fract_x
_atom_site_fract_y
_atom_site_fract_z
Al1 Al 0.000 0.000 0.000
Au1 Au 0.000 0.146 0.500
Au2 Au 0.000 0.353 0.000
```

Largest 12 diffraction maxima, sorted by position, 2θ = 10–80°:
two_theta, I_rel
17.66, 11
30.67, 71
35.76, 25
40.02, 100
41.95, 51
56.27, 27
60.83, 17
69.67, 14
71.36, 12
72.61, 13
72.87, 17
75.33, 32

No. 3
Structure and calculated XRD peak list of AlAu6 (a crystal structure in Alexandria, relaxed with GGA-PBE; a wavelength of 1.5418 Å).

Crystal structure
```
data_AlAu6
_chemical_formula_sum 'Al3 Au18'
_cell_length_a 11.9902
_cell_length_b 11.9902
_cell_length_c 3.0153
_cell_angle_alpha 90.00
_cell_angle_beta 90.00
_cell_angle_gamma 120.00
_space_group_name_H-M_alt 'R -3'
_space_group_IT_number 148
_space_group_name_Hall '-R 3'
loop_
_atom_site_label
_atom_site_type_symbol
_atom_site_fract_x
_atom_site_fract_y
_atom_site_fract_z
Al1 Al 0.0000 0.0000 0.0000
Au1 Au 0.0368 0.8112 0.7350
```

Largest 12 diffraction maxima, sorted by position, 2θ = 10–80°:
two_theta, I_rel
14.78, 8
25.74, 8
29.81, 12
34.39, 7
37.62, 100
39.78, 83
43.45, 13
55.90, 25
62.52, 7
66.43, 10
70.79, 24
72.21, 15

No. 4
Structure and calculated XRD peak list of Al3Au5 (a crystal structure in Alexandria, relaxed with GGA-PBE; a wavelength of 1.5418 Å).

Crystal structure
```
data_Al3Au5
_chemical_formula_sum 'Al6 Au10'
_cell_length_a 6.268
_cell_length_b 7.196
_cell_length_c 7.623
_cell_angle_alpha 81.23
_cell_angle_beta 69.50
_cell_angle_gamma 64.22
_space_group_name_H-M_alt 'P 1'
_space_group_IT_number 1
loop_
_space_group_symop_operation_xyz
'x,y,z'
loop_
_atom_site_label
_atom_site_type_symbol
_atom_site_fract_x
_atom_site_fract_y
_atom_site_fract_z
Al1 Al 0.000 0.000 0.000
Al2 Al 0.054 0.519 0.149
Al3 Al 0.217 0.838 0.505
Al4 Al 0.482 0.037 0.999
Al5 Al 0.537 0.198 0.506
Al6 Al 0.679 0.518 0.838
Au1 Au 0.036 0.153 0.282
Au2 Au 0.133 0.518 0.485
Au3 Au 0.154 0.302 0.846
Au4 Au 0.334 0.735 0.146
Au5 Au 0.450 0.886 0.712
Au6 Au 0.551 0.302 0.146
Au7 Au 0.666 0.518 0.485
Au8 Au 0.669 0.884 0.283
Au9 Au 0.820 0.150 0.711
Au10 Au 0.938 0.735 0.845
```

Largest 12 diffraction maxima, sorted by position, 2θ = 10–80°:
two_theta, I_rel
28.54, 100
30.29, 22
34.36, 21
37.95, 16
38.27, 27
39.55, 32
39.75, 28
40.37, 20
41.27, 22
41.51, 16
41.81, 26
42.69, 28